Entry 1:
Calculated PXRD pattern of B5C7 for a wavelength of 1.5418 Å, from a cell relaxed with GGA-PBE.
Kinematic intensities with the Lorentz-polarization factor, no thermal factor.

Cell and atoms:
```
data_B5C7
_chemical_formula_sum 'B5 C7'
_cell_length_a 3.7008
_cell_length_b 4.5927
_cell_length_c 5.2633
_cell_angle_alpha 106.97
_cell_angle_beta 91.33
_cell_angle_gamma 110.98
_symmetry_space_group_name_H-M 'P 1'
_symmetry_Int_Tables_number 1
loop_
_symmetry_equiv_pos_as_xyz
'x,y,z'
loop_
_atom_site_label
_atom_site_fract_x
_atom_site_fract_y
_atom_site_fract_z
B1 0.0000 0.0000 0.0000
B2 0.0341 0.0312 0.4282
B3 0.2925 0.7475 0.1553
B4 0.4235 0.3373 0.0330
B5 0.6801 0.0141 0.7459
C1 0.0589 0.6538 0.8673
C2 0.0588 0.6823 0.3993
C3 0.3029 0.6738 0.6360
C4 0.4182 0.3684 0.5489
C5 0.6587 0.3649 0.7888
C6 0.6635 0.3774 0.3135
C7 0.7173 0.0453 0.2253
```

Largest 10 diffraction maxima, in order of rising 2θ, 15 to 90 degrees two-theta:
2θ (°), I (rel.), index
23.39, 282, 0 1 -1
26.93, 294, 1 -1 0
40.45, 939, 1 1 0
41.69, 1000, 1 0 -2
42.21, 970, 1 -2 0
42.63, 925, 1 -1 2
69.23, 242, 2 1 -2
69.44, 252, 0 3 0
71.20, 268, 2 0 2
71.76, 219, 0 1 -4



Entry 2:
Calculated PXRD pattern of B5C7 for a wavelength of 1.5418 Å, from a cell relaxed with GGA-PBE.
Kinematic intensities with the Lorentz-polarization factor, no thermal factor.

Cell and atoms:
```
data_B5C7
_chemical_formula_sum 'B5 C7'
_cell_length_a 4.8641
_cell_length_b 2.5027
_cell_length_c 6.4657
_cell_angle_alpha 90.00
_cell_angle_beta 98.00
_cell_angle_gamma 90.00
_symmetry_space_group_name_H-M 'P 1 m 1'
_symmetry_Int_Tables_number 6
loop_
_symmetry_equiv_pos_as_xyz
'x,y,z'
'x,-y,z'
loop_
_atom_site_label
_atom_site_fract_x
_atom_site_fract_y
_atom_site_fract_z
B1 0.0000 0.0000 0.0000
B2 0.0923 0.5000 0.6513
B3 0.2567 0.0000 0.2976
B4 0.6222 0.0000 0.9086
B5 0.8757 0.0000 0.2281
C1 0.1437 0.5000 0.8968
C2 0.2832 0.0000 0.5503
C3 0.4353 0.5000 0.9913
C4 0.4389 0.5000 0.2207
C5 0.6076 0.0000 0.6475
C6 0.7262 0.5000 0.3310
C7 0.7554 0.5000 0.5669
```

Largest 10 diffraction maxima, in order of rising 2θ, 15 to 90 degrees two-theta:
2θ (°), I (rel.), index
18.42, 105, 1 0 0
21.49, 142, 1 0 -1
41.87, 417, 2 0 1
42.21, 1000, 1 1 -1
42.35, 381, 0 0 3
69.57, 207, 3 1 0
70.24, 257, 1 1 -4
75.80, 88, 2 0 4
76.06, 112, 0 2 0
79.35, 55, 3 1 -3



Entry 3:
Calculated PXRD pattern of B5C7 for a wavelength of 1.5418 Å, from a cell relaxed with GGA-PBE.
Kinematic intensities with the Lorentz-polarization factor, no thermal factor.

Cell and atoms:
```
data_B5C7
_chemical_formula_sum 'B5 C7'
_cell_length_a 2.5077
_cell_length_b 2.5077
_cell_length_c 12.3917
_cell_angle_alpha 90.00
_cell_angle_beta 90.00
_cell_angle_gamma 90.00
_symmetry_space_group_name_H-M 'P -4 m 2'
_symmetry_Int_Tables_number 115
loop_
_symmetry_equiv_pos_as_xyz
'x,y,z'
'y,-x,-z'
'-x,-y,z'
'-y,x,-z'
'-x,y,z'
'-y,-x,-z'
'x,-y,z'
'y,x,-z'
loop_
_atom_site_label
_atom_site_fract_x
_atom_site_fract_y
_atom_site_fract_z
B1 0.0000 0.0000 0.0000
B2 0.0000 0.5000 0.2435
B3 0.0000 0.5000 0.5864
C1 0.0000 0.0000 0.3292
C2 0.0000 0.5000 0.9118
C3 0.5000 0.5000 0.1546
C4 0.5000 0.5000 0.5000
```

Largest 10 diffraction maxima, in order of rising 2θ, 15 to 90 degrees two-theta:
2θ (°), I (rel.), index
21.51, 9, 0 0 3
28.82, 20, 0 0 4
36.25, 14, 0 0 5
36.56, 6, 1 0 1
38.74, 11, 1 0 2
42.16, 1000, 1 0 3
69.92, 285, 1 1 6
71.60, 6, 1 0 8
75.89, 123, 2 0 0
79.40, 92, 1 0 9



Entry 4:
Calculated PXRD pattern of B5C7 for a wavelength of 1.5418 Å, from a cell relaxed with GGA-PBE.
Kinematic intensities with the Lorentz-polarization factor, no thermal factor.

Cell and atoms:
```
data_B5C7
_chemical_formula_sum 'B5 C7'
_cell_length_a 2.4882
_cell_length_b 2.4882
_cell_length_c 12.5886
_cell_angle_alpha 90.00
_cell_angle_beta 90.00
_cell_angle_gamma 90.00
_symmetry_space_group_name_H-M 'P -4 m 2'
_symmetry_Int_Tables_number 115
loop_
_symmetry_equiv_pos_as_xyz
'x,y,z'
'y,-x,-z'
'-x,-y,z'
'-y,x,-z'
'-x,y,z'
'-y,-x,-z'
'x,-y,z'
'y,x,-z'
loop_
_atom_site_label
_atom_site_fract_x
_atom_site_fract_y
_atom_site_fract_z
B1 0.0000 0.0000 0.0000
B2 0.0000 0.0000 0.3459
B3 0.0000 0.5000 0.1057
C1 0.0000 0.5000 0.4292
C2 0.0000 0.5000 0.7431
C3 0.5000 0.5000 0.1910
C4 0.5000 0.5000 0.5000
```

Largest 10 diffraction maxima, in order of rising 2θ, 15 to 90 degrees two-theta:
2θ (°), I (rel.), index
21.17, 86, 0 0 3
28.36, 20, 0 0 4
42.23, 1000, 1 0 3
46.53, 63, 1 0 4
64.63, 19, 1 1 5
69.76, 232, 1 1 6
75.61, 55, 1 1 7
76.58, 125, 2 0 0
78.44, 51, 1 0 9
86.68, 34, 1 0 10



Entry 5:
Calculated PXRD pattern of B3C2 for a wavelength of 1.5418 Å, from a cell relaxed with GGA-PBE.
Kinematic intensities with the Lorentz-polarization factor, no thermal factor.

Cell and atoms:
```
data_B3C2
_chemical_formula_sum 'B12 C8'
_cell_length_a 2.4392
_cell_length_b 2.4392
_cell_length_c 22.7536
_cell_angle_alpha 90.00
_cell_angle_beta 90.00
_cell_angle_gamma 90.00
_symmetry_space_group_name_H-M 'I -4 m 2'
_symmetry_Int_Tables_number 119
_symmetry_space_group_name_Hall 'I -4 -2'
loop_
_atom_site_label
_atom_site_fract_x
_atom_site_fract_y
_atom_site_fract_z
B1 0.0000 0.0000 0.0877
B2 0.0000 0.0000 0.2961
B3 0.0000 0.5000 0.6452
C1 0.0000 0.0000 0.5000
C2 0.0000 0.5000 0.0394
C3 0.0000 0.5000 0.2500
```

Largest 10 diffraction maxima, in order of rising 2θ, 15 to 90 degrees two-theta:
2θ (°), I (rel.), index
15.58, 321, 0 0 4
42.03, 1000, 1 0 5
46.55, 24, 1 0 7
52.10, 40, 1 0 9
65.66, 27, 1 0 13
68.23, 275, 1 1 10
73.52, 80, 1 0 15
78.41, 118, 2 0 0
81.35, 30, 1 1 14
85.32, 17, 0 0 20



Entry 6:
Calculated PXRD pattern of B5C7 for a wavelength of 1.5418 Å, from a cell relaxed with GGA-PBE.
Kinematic intensities with the Lorentz-polarization factor, no thermal factor.

Cell and atoms:
```
data_B5C7
_chemical_formula_sum 'B5 C7'
_cell_length_a 4.4994
_cell_length_b 2.5472
_cell_length_c 6.8435
_cell_angle_alpha 90.00
_cell_angle_beta 91.07
_cell_angle_gamma 90.00
_symmetry_space_group_name_H-M 'P 1 m 1'
_symmetry_Int_Tables_number 6
loop_
_symmetry_equiv_pos_as_xyz
'x,y,z'
'x,-y,z'
loop_
_atom_site_label
_atom_site_fract_x
_atom_site_fract_y
_atom_site_fract_z
B1 0.0000 0.0000 0.0000
B2 0.0652 0.0000 0.7575
B3 0.4453 0.5000 0.7976
B4 0.6462 0.0000 0.6650
B5 0.7964 0.5000 0.1234
C1 0.1349 0.5000 0.6445
C2 0.1523 0.5000 0.4251
C3 0.3160 0.0000 0.3496
C4 0.3269 0.0000 0.1257
C5 0.4479 0.5000 0.0344
C6 0.6529 0.0000 0.4334
C7 0.8123 0.5000 0.3540
```

Largest 10 diffraction maxima, in order of rising 2θ, 15 to 90 degrees two-theta:
2θ (°), I (rel.), index
19.73, 161, 1 0 0
23.46, 135, 1 0 -1
39.51, 422, 0 0 3
42.54, 619, 2 0 1
42.77, 1000, 1 1 -1
69.05, 240, 1 1 -4
69.68, 140, 2 0 4
73.25, 217, 3 1 0
74.50, 148, 0 2 0
83.33, 136, 1 1 5



Copy entry 6 word for word.
Calculated PXRD pattern of B5C7 for a wavelength of 1.5418 Å, from a cell relaxed with GGA-PBE.
Kinematic intensities with the Lorentz-polarization factor, no thermal factor.

Cell and atoms:
```
data_B5C7
_chemical_formula_sum 'B5 C7'
_cell_length_a 4.4994
_cell_length_b 2.5472
_cell_length_c 6.8435
_cell_angle_alpha 90.00
_cell_angle_beta 91.07
_cell_angle_gamma 90.00
_symmetry_space_group_name_H-M 'P 1 m 1'
_symmetry_Int_Tables_number 6
loop_
_symmetry_equiv_pos_as_xyz
'x,y,z'
'x,-y,z'
loop_
_atom_site_label
_atom_site_fract_x
_atom_site_fract_y
_atom_site_fract_z
B1 0.0000 0.0000 0.0000
B2 0.0652 0.0000 0.7575
B3 0.4453 0.5000 0.7976
B4 0.6462 0.0000 0.6650
B5 0.7964 0.5000 0.1234
C1 0.1349 0.5000 0.6445
C2 0.1523 0.5000 0.4251
C3 0.3160 0.0000 0.3496
C4 0.3269 0.0000 0.1257
C5 0.4479 0.5000 0.0344
C6 0.6529 0.0000 0.4334
C7 0.8123 0.5000 0.3540
```

Largest 10 diffraction maxima, in order of rising 2θ, 15 to 90 degrees two-theta:
2θ (°), I (rel.), index
19.73, 161, 1 0 0
23.46, 135, 1 0 -1
39.51, 422, 0 0 3
42.54, 619, 2 0 1
42.77, 1000, 1 1 -1
69.05, 240, 1 1 -4
69.68, 140, 2 0 4
73.25, 217, 3 1 0
74.50, 148, 0 2 0
83.33, 136, 1 1 5